No. 1
Starting from a DFT-relaxed cell (GGA-PBE, Alexandria), the powder XRD pattern of In2BP3O12 was calculated for Cu Kα, 1.54184 Å.
Intensities are scaled so that the largest is 100.

Top 10 peaks for 2θ from 5° to 70°, by intensity:
12.28°, d = 7.209 Å, I = 100, (1 0 0)
31.21°, d = 2.866 Å, I = 97, (1 1 2)
21.35°, d = 4.162 Å, I = 97, (1 1 0)
24.17°, d = 3.683 Å, I = 64, (1 1 1)
25.70°, d = 3.466 Å, I = 61, (1 0 2)
37.43°, d = 2.403 Å, I = 42, (3 0 0)
49.50°, d = 1.841 Å, I = 37, (2 2 2)
48.03°, d = 1.894 Å, I = 35, (2 1 3)
42.49°, d = 2.127 Å, I = 31, (2 0 3)
33.65°, d = 2.663 Å, I = 30, (2 0 2)

Lattice parameters (Å, degrees): 8.3237 8.3237 7.9063 90.00 90.00 120.00
Space group P6_3/m (No. 176)
Inequivalent atoms, fractional coordinates:
1 In 0.3333 0.6667 0.0440 x4
2 B 0.0000 0.0000 0.2500 x2
3 P 0.0416 0.3508 0.7500 x6
4 O 0.0565 0.8711 0.2500 x6
5 O 0.1266 0.6154 0.2500 x6
6 O 0.1521 0.4205 0.5870 x12

=====

No. 2
Starting from a DFT-relaxed cell (GGA-PBE, Alexandria), the powder XRD pattern of Sr2SnBr6 was calculated for Cu Kα, 1.54184 Å.
Intensities are scaled so that the largest is 100.

Top 10 peaks for 2θ from 5° to 70°, by intensity:
25.85°, d = 3.446 Å, I = 100, (2 -1 3)
13.68°, d = 6.472 Å, I = 86, (1 0 1)
33.63°, d = 2.665 Å, I = 73, (2 -1 6)
39.91°, d = 2.259 Å, I = 48, (3 0 0)
33.47°, d = 2.677 Å, I = 24, (2 0 5)
40.84°, d = 2.209 Å, I = 22, (1 2 5)
43.91°, d = 2.062 Å, I = 21, (1 1 9)
53.15°, d = 1.723 Å, I = 17, (2 2 6)
24.24°, d = 3.671 Å, I = 16, (0 1 5)
68.80°, d = 1.365 Å, I = 15, (1 1 15)

Lattice parameters (Å, degrees): 7.8250 7.8250 21.8367 90.00 90.00 120.00
Space group R-3 (No. 148, hexagonal axes)
Inequivalent atoms, fractional coordinates:
1 Sr 0.0000 0.0000 0.1864 x6
2 Sn 0.0000 0.0000 0.0000 x3
3 Br 0.0012 0.7065 0.0892 x18